Diffraction record for CaMnAs2O6. The PXRD pattern is computed, not measured: it uses a crystal structure in Alexandria, relaxed with PBE+U and a wavelength of 1.5418 Å.

Peak list (8 most intense, 10 to 80 degrees two-theta, sorted by position)
27.39 deg, rel. 20.1
27.89 deg, rel. 22.6
28.44 deg, rel. 100.0
29.09 deg, rel. 38.3
30.21 deg, rel. 51.8
33.54 deg, rel. 62.9
34.60 deg, rel. 40.3
57.65 deg, rel. 17.6

Lattice parameters (Å, degrees): 6.871 6.871 7.051 112.98 112.98 75.02
Sites, in units of the cell vectors:
1 Ca 0.173 0.827 0.750
2 Ca 0.827 0.173 0.250
3 Mn 0.238 0.762 0.250
4 Mn 0.762 0.238 0.750
5 As 0.266 0.332 0.811
6 As 0.332 0.266 0.311
7 As 0.668 0.734 0.689
8 As 0.734 0.668 0.189
9 O 0.048 0.186 0.686
10 O 0.169 0.598 0.929
11 O 0.186 0.048 0.186
12 O 0.256 0.413 0.553
13 O 0.402 0.831 0.571
14 O 0.413 0.256 0.053
15 O 0.587 0.744 0.947
16 O 0.598 0.169 0.429
17 O 0.744 0.587 0.447
18 O 0.814 0.952 0.814
19 O 0.831 0.402 0.071
20 O 0.952 0.814 0.314